The following is a simulated XRD peak list of Tm5Te3Os. It was derived from DFT lattice parameters and positions (GGA-PBE), using CuKα.
Neutral-atom scattering factors, no anomalous dispersion.

Structure:
```
data_Tm5Te3Os
_cell_length_a 8.6035
_cell_length_b 8.6035
_cell_length_c 3.7459
_cell_angle_alpha 90.00
_cell_angle_beta 90.00
_cell_angle_gamma 120.00
_space_group_name_H-M_alt 'P -6 2 m'
_space_group_IT_number 189
_space_group_name_Hall 'P -6 -2'
loop_
_atom_site_label
_atom_site_type_symbol
_atom_site_fract_x
_atom_site_fract_y
_atom_site_fract_z
_atom_site_occupancy
Tm1 Tm 0.0000 0.2291 0.0000 1
Tm2 Tm 0.3333 0.6667 0.0000 1
Te1 Te 0.0000 0.5664 0.5000 1
Os1 Os 0.0000 0.0000 0.5000 1
```

Largest 8 diffraction maxima, by angle, 2θ = 10–90°:
(hkl)	two_theta	I_rel
1 1 1	31.67	49
2 1 0	31.78	63
2 0 1	33.94	100
3 0 0	36.17	24
2 1 1	40.06	56
2 1 2	59.25	21
3 2 1	59.44	28
5 0 0	62.26	21

***

The following is a simulated XRD peak list of KLuAlSe3. It was derived from DFT lattice parameters and positions (GGA-PBE), using CuKα.
Neutral-atom scattering factors, no anomalous dispersion.

Structure:
```
data_KLuAlSe3
_cell_length_a 4.2833
_cell_length_b 14.7221
_cell_length_c 10.7666
_cell_angle_alpha 90.00
_cell_angle_beta 90.00
_cell_angle_gamma 90.00
_space_group_name_H-M_alt 'C m c m'
_space_group_IT_number 63
_space_group_name_Hall '-C 2c 2'
loop_
_atom_site_label
_atom_site_type_symbol
_atom_site_fract_x
_atom_site_fract_y
_atom_site_fract_z
_atom_site_occupancy
K1 K 0.0000 0.2451 0.2500 1
Lu1 Lu 0.0000 0.5000 0.0000 1
Al1 Al 0.0000 0.0277 0.7500 1
Se1 Se 0.0000 0.1247 0.5665 1
Se2 Se 0.0000 0.4391 0.7500 1
```

Largest 8 diffraction maxima, by angle, 2θ = 10–90°:
(hkl)	two_theta	I_rel
0 2 0	12.02	100
0 2 2	20.44	22
1 3 0	27.65	81
1 3 1	28.88	34
1 3 2	32.35	46
1 1 4	40.03	25
1 5 2	40.79	40
2 0 0	42.20	23

***

The following is a simulated XRD peak list of Na2Pr4Cl9O2. It was derived from DFT lattice parameters and positions (GGA-PBE), using CuKα.
Neutral-atom scattering factors, no anomalous dispersion.

Structure:
```
data_Na2Pr4Cl9O2
_cell_length_a 8.2438
_cell_length_b 11.5295
_cell_length_c 9.3377
_cell_angle_alpha 90.00
_cell_angle_beta 106.89
_cell_angle_gamma 90.00
_space_group_name_H-M_alt 'P 1 21/m 1'
_space_group_IT_number 11
_space_group_name_Hall '-P 2yb'
loop_
_atom_site_label
_atom_site_type_symbol
_atom_site_fract_x
_atom_site_fract_y
_atom_site_fract_z
_atom_site_occupancy
Na1 Na 0.2269 0.0155 0.4322 1
Pr1 Pr 0.2777 0.5470 0.9521 1
Pr2 Pr 0.3701 0.2500 0.7796 1
Pr3 Pr 0.3890 0.2500 0.1654 1
Cl1 Cl 0.0970 0.0813 0.6838 1
Cl2 Cl 0.1046 0.0951 0.1215 1
Cl3 Cl 0.2390 0.7500 0.7506 1
Cl4 Cl 0.2600 0.7500 0.1397 1
Cl5 Cl 0.3241 0.2500 0.4591 1
Cl6 Cl 0.5003 0.0032 0.2997 1
O1 O 0.4472 0.1195 0.9858 1
```

Largest 8 diffraction maxima, by angle, 2θ = 10–90°:
(hkl)	two_theta	I_rel
1 0 0	11.22	89
1 0 -1	12.63	43
0 2 2	25.19	100
0 4 0	31.02	42
2 3 0	32.53	65
1 2 -3	32.80	62
0 2 3	33.88	48
3 1 0	35.01	39

***

The following is a simulated XRD peak list of Co2Sn2As3P. It was derived from DFT lattice parameters and positions (GGA-PBE), using CuKα.
Neutral-atom scattering factors, no anomalous dispersion.

Structure:
```
data_Co2Sn2As3P
_cell_length_a 12.6484
_cell_length_b 5.6581
_cell_length_c 5.6126
_cell_angle_alpha 90.00
_cell_angle_beta 116.11
_cell_angle_gamma 90.00
_space_group_name_H-M_alt 'C 1 2 1'
_space_group_IT_number 5
_space_group_name_Hall 'C 2y'
loop_
_atom_site_label
_atom_site_type_symbol
_atom_site_fract_x
_atom_site_fract_y
_atom_site_fract_z
_atom_site_occupancy
Co1 Co 0.1193 0.0000 0.3567 1
Sn1 Sn 0.1229 0.4818 0.8790 1
As1 As 0.0000 0.8095 0.5000 1
As2 As 0.2503 0.2400 0.6737 1
P1 P 0.0000 0.1716 0.0000 1
```

Largest 8 diffraction maxima, by angle, 2θ = 10–90°:
(hkl)	two_theta	I_rel
1 1 1	27.34	100
0 2 1	36.43	8
3 1 -2	36.63	9
4 2 0	45.28	33
6 0 -2	45.53	28
5 1 1	53.54	7
7 1 -1	53.69	13
3 3 -1	53.78	8

***

The following is a simulated XRD peak list of LaPrZn6Si3. It was derived from DFT lattice parameters and positions (GGA-PBE), using CuKα.
Neutral-atom scattering factors, no anomalous dispersion.

Structure:
```
data_LaPrZn6Si3
_cell_length_a 7.5907
_cell_length_b 7.5907
_cell_length_c 4.1041
_cell_angle_alpha 90.00
_cell_angle_beta 90.00
_cell_angle_gamma 120.00
_space_group_name_H-M_alt 'P -6'
_space_group_IT_number 174
_space_group_name_Hall 'P -6'
loop_
_atom_site_label
_atom_site_type_symbol
_atom_site_fract_x
_atom_site_fract_y
_atom_site_fract_z
_atom_site_occupancy
La1 La 0.0000 0.0000 0.0000 1
Pr1 Pr 0.6667 0.3333 0.0000 1
Zn1 Zn 0.0363 0.6666 0.5000 1
Zn2 Zn 0.1400 0.4778 0.0000 1
Si1 Si 0.3336 0.0403 0.5000 1
```

Largest 8 diffraction maxima, by angle, 2θ = 10–90°:
(hkl)	two_theta	I_rel
2 0 0	27.13	13
1 1 1	32.12	100
2 1 0	36.15	23
3 0 0	41.20	27
2 1 1	42.53	45
0 0 2	44.13	20
3 0 2	61.95	16
1 4 1	69.40	23

***

The following is a simulated XRD peak list of Ag8Pb. It was derived from DFT lattice parameters and positions (GGA-PBE), using CuKα.
Neutral-atom scattering factors, no anomalous dispersion.

Structure:
```
data_Ag8Pb
_cell_length_a 9.1670
_cell_length_b 4.0006
_cell_length_c 28.9933
_cell_angle_alpha 90.00
_cell_angle_beta 90.28
_cell_angle_gamma 90.00
_space_group_name_H-M_alt 'C 1 2/m 1'
_space_group_IT_number 12
_space_group_name_Hall '-C 2y'
loop_
_atom_site_label
_atom_site_type_symbol
_atom_site_fract_x
_atom_site_fract_y
_atom_site_fract_z
_atom_site_occupancy
Ag1 Ag 0.0486 0.0000 0.2125 1
Ag2 Ag 0.0493 0.0000 0.8866 1
Ag3 Ag 0.0512 0.5000 0.0486 1
Ag4 Ag 0.1500 0.0000 0.9838 1
Ag5 Ag 0.1495 0.5000 0.1469 1
Ag6 Ag 0.1497 0.5000 0.8204 1
Ag7 Ag 0.2452 0.5000 0.2452 1
Ag8 Ag 0.2488 0.5000 0.9178 1
Pb1 Pb 0.0531 0.5000 0.7135 1
```

Largest 8 diffraction maxima, by angle, 2θ = 10–90°:
(hkl)	two_theta	I_rel
1 1 9	37.18	100
3 1 -2	37.53	19
3 1 -3	38.18	88
1 1 10	39.66	23
2 0 -12	42.20	32
4 0 6	43.80	29
0 2 0	45.33	34
4 2 6	64.88	19